This entry pairs a crystal structure of Nd4Si3S12 with its theoretical powder XRD pattern. Radiation: Cu Kα. Structure: a cell relaxed with PBE.

Top 10 peaks for 2θ from 15° to 90°, by angle:
17.98°, intensity 74, (2 1 1)
24.53°, intensity 100, (4 1 0)
26.51°, intensity 45, (1 2 2)
32.51°, intensity 52, (2 3 2)
35.12°, intensity 53, (5 0 2)
36.42°, intensity 29, (4 2 2)
37.20°, intensity 38, (1 6 1)
37.46°, intensity 43, (4 4 0)
42.25°, intensity 25, (6 1 2)
48.44°, intensity 25, (5 2 3)

Structural model:
abc: 19.2058 19.2058 7.9602
angles: 90.00 90.00 120.00
Space group R3c (No. 161, hexagonal axes)
Symmetry-distinct sites (fractional):
Nd  0.0000  0.0000  0.0000 (multiplicity 6)
Nd  0.0038  0.2327  0.2102 (multiplicity 18)
Si  0.1475  0.4676  0.3240 (multiplicity 18)
S  0.0657  0.3982  0.5186 (multiplicity 18)
S  0.0846  0.2016  0.5066 (multiplicity 18)
S  0.1253  0.0613  0.7498 (multiplicity 18)
S  0.1532  0.3806  0.1680 (multiplicity 18)

---

This entry pairs a crystal structure of TbY2In3Pt2 with its theoretical powder XRD pattern. Radiation: Cu Kα. Structure: a cell relaxed with PBE.

Top 10 peaks for 2θ from 15° to 90°, by angle:
24.43°, intensity 17, (1 0 0)
33.83°, intensity 100, (1 3 1)
35.50°, intensity 52, (0 1 3)
35.58°, intensity 24, (0 5 1)
36.48°, intensity 66, (1 4 0)
40.45°, intensity 14, (0 3 3)
43.59°, intensity 27, (1 4 2)
50.07°, intensity 18, (2 0 0)
62.89°, intensity 29, (2 1 3)
69.35°, intensity 18, (1 6 4)

Structural model:
abc: 3.6434 13.3480 7.7319
angles: 90.00 90.00 90.00
Space group Amm2 (No. 38)
Symmetry-distinct sites (fractional):
Tb  0.0000  0.0000  0.0000 (multiplicity 2)
Y  0.0000  0.2102  0.3688 (multiplicity 4)
In  0.5000  0.0000  0.3489 (multiplicity 2)
In  0.5000  0.1153  0.6941 (multiplicity 4)
Pt  0.5000  0.1664  0.0788 (multiplicity 4)

---

This entry pairs a crystal structure of ZnCu5Ge2 with its theoretical powder XRD pattern. Radiation: Cu Kα. Structure: a cell relaxed with PBE.

Top 6 peaks for 2θ from 15° to 90°, by angle:
42.73°, intensity 50, (2 0 0)
42.84°, intensity 100, (1 1 2)
62.03°, intensity 16, (2 2 0)
62.34°, intensity 8, (0 0 4)
78.32°, intensity 30, (3 1 2)
78.54°, intensity 15, (2 0 4)

Structural model:
abc: 4.2320 4.2320 5.9576
angles: 90.00 90.00 90.00
Space group P4/mmm (No. 123)
Symmetry-distinct sites (fractional):
Zn  0.0000  0.0000  0.0000 (multiplicity 1)
Cu  0.0000  0.5000  0.2551 (multiplicity 4)
Cu  0.5000  0.5000  0.5000 (multiplicity 1)
Ge  0.0000  0.0000  0.5000 (multiplicity 1)
Ge  0.5000  0.5000  0.0000 (multiplicity 1)

---

This entry pairs a crystal structure of Sr2LiIrN2 with its theoretical powder XRD pattern. Radiation: Cu Kα. Structure: a cell relaxed with PBE.

Top 10 peaks for 2θ from 15° to 90°, by angle:
25.11°, intensity 70, (0 1 1)
26.70°, intensity 32, (1 0 1)
32.56°, intensity 88, (1 1 0)
32.91°, intensity 100, (0 1 2)
34.17°, intensity 90, (1 0 2)
34.83°, intensity 39, (1 1 1)
44.77°, intensity 24, (0 2 0)
57.50°, intensity 41, (1 2 2)
59.94°, intensity 36, (2 1 2)
60.60°, intensity 31, (1 1 4)

Structural model:
abc: 3.7469 4.0483 7.3520
angles: 90.00 90.00 90.00
Space group Pmmm (No. 47)
Symmetry-distinct sites (fractional):
Sr  0.0000  0.0000  0.2440 (multiplicity 2)
Li  0.5000  0.5000  0.0000 (multiplicity 1)
Ir  0.5000  0.5000  0.5000 (multiplicity 1)
N  0.0000  0.5000  0.5000 (multiplicity 1)
N  0.5000  0.0000  0.0000 (multiplicity 1)

---

This entry pairs a crystal structure of Ta11W2 with its theoretical powder XRD pattern. Radiation: Cu Kα. Structure: a cell relaxed with PBE.

Top 10 peaks for 2θ from 15° to 90°, by angle:
33.11°, intensity 47, (1 1 0)
37.05°, intensity 39, (1 0 10)
38.33°, intensity 100, (1 1 6)
38.56°, intensity 48, (0 2 1)
39.91°, intensity 63, (0 1 11)
41.71°, intensity 55, (2 0 5)
62.64°, intensity 24, (0 3 6)
63.75°, intensity 33, (1 2 11)
69.12°, intensity 25, (2 0 17)
69.49°, intensity 38, (2 2 0)

Structural model:
abc: 5.4106 5.4106 28.3653
angles: 90.00 90.00 120.00
Space group R-3m (No. 166, hexagonal axes)
Symmetry-distinct sites (fractional):
Ta  0.0000  0.0000  0.0000 (multiplicity 3)
Ta  0.0000  0.0000  0.3521 (multiplicity 6)
Ta  0.0000  0.0000  0.4554 (multiplicity 6)
Ta  0.0029  0.5015  0.4120 (multiplicity 18)
W  0.0000  0.0000  0.1677 (multiplicity 6)

---

This entry pairs a crystal structure of PrZn4Ag8 with its theoretical powder XRD pattern. Radiation: Cu Kα. Structure: a cell relaxed with PBE.

Top 10 peaks for 2θ from 15° to 90°, by angle:
33.05°, intensity 46, (3 0 1)
34.02°, intensity 26, (0 0 2)
37.96°, intensity 49, (4 0 0)
38.25°, intensity 100, (3 2 1)
39.11°, intensity 44, (2 0 2)
42.91°, intensity 25, (4 1 1)
43.69°, intensity 44, (2 2 2)
63.70°, intensity 21, (3 2 3)
68.76°, intensity 25, (6 3 1)
69.33°, intensity 21, (6 0 2)

Structural model:
abc: 9.4819 9.4819 5.2710
angles: 90.00 90.00 90.00
Space group I4/mmm (No. 139)
Symmetry-distinct sites (fractional):
Pr  0.0000  0.0000  0.0000 (multiplicity 2)
Zn  0.2500  0.2500  0.2500 (multiplicity 8)
Ag  0.0000  0.2176  0.5000 (multiplicity 8)
Ag  0.0000  0.3482  0.0000 (multiplicity 8)

---

This entry pairs a crystal structure of HgAsSeO with its theoretical powder XRD pattern. Radiation: Cu Kα. Structure: a cell relaxed with PBE.

Top 10 peaks for 2θ from 15° to 90°, by angle:
24.97°, intensity 100, (1 1 -2)
25.96°, intensity 34, (0 2 0)
27.39°, intensity 46, (0 2 1)
30.20°, intensity 35, (1 1 2)
30.61°, intensity 44, (1 1 -3)
34.63°, intensity 22, (2 0 0)
37.12°, intensity 32, (1 1 3)
44.96°, intensity 27, (1 1 4)
46.40°, intensity 21, (2 2 1)
53.41°, intensity 23, (1 3 3)

Structural model:
abc: 5.3315 6.8666 10.5663
angles: 90.00 103.65 90.00
Space group P2_1 (No. 4)
Symmetry-distinct sites (fractional):
Hg  0.0138  0.0000  0.4202 (multiplicity 2)
Hg  0.4463  0.9999  0.6048 (multiplicity 2)
As  0.0486  0.3490  0.0886 (multiplicity 2)
As  0.4603  0.3423  0.9011 (multiplicity 2)
Se  0.1196  0.6120  0.2523 (multiplicity 2)
Se  0.4243  0.5899  0.7271 (multiplicity 2)
O  0.2350  0.4647  0.9831 (multiplicity 2)
O  0.2581  0.9618  0.9947 (multiplicity 2)

---

This entry pairs a crystal structure of Ho3ThSb4 with its theoretical powder XRD pattern. Radiation: Cu Kα. Structure: a cell relaxed with PBE.

Top 10 peaks for 2θ from 15° to 90°, by angle:
28.66°, intensity 100, (2 0 1)
40.96°, intensity 64, (0 0 2)
41.02°, intensity 13, (4 0 0)
50.71°, intensity 14, (0 4 2)
50.82°, intensity 14, (4 4 0)
59.33°, intensity 13, (4 0 2)
67.22°, intensity 29, (4 4 2)
74.56°, intensity 13, (2 4 3)
74.70°, intensity 13, (4 8 0)
88.89°, intensity 7, (4 8 2)

Structural model:
abc: 8.8017 12.4503 4.4137
angles: 90.00 90.00 90.00
Space group Cmmm (No. 65)
Symmetry-distinct sites (fractional):
Ho  0.0000  0.0000  0.0000 (multiplicity 2)
Ho  0.2500  0.2500  0.5000 (multiplicity 4)
Th  0.0000  0.5000  0.0000 (multiplicity 2)
Sb  0.0000  0.2469  0.0000 (multiplicity 4)
Sb  0.2431  0.0000  0.5000 (multiplicity 4)